Diffraction record for Tb3Tl4SbS8. The powder diffractogram is simulated, not measured: it uses a structure optimized by DFT (PBE) and a wavelength of 1.5418 Å.
Neutral-atom scattering factors, no anomalous dispersion.

Peak list (12 most intense, 2θ = 10–90°, low angle first)
| 2θ/deg | Rel. int. |
| --- | --- |
| 23.8 | 301 |
| 26.6 | 633 |
| 30.0 | 1000 |
| 41.2 | 388 |
| 44.7 | 342 |
| 48.1 | 166 |
| 51.2 | 243 |
| 54.8 | 182 |
| 62.4 | 114 |
| 68.2 | 155 |
| 73.3 | 153 |
| 79.9 | 113 |

Atomic structure:
a = 8.8297 Å, b = 8.8297 Å, c = 8.8297 Å
α = 54.70°, β = 54.70°, γ = 54.70°
Sites, in units of the cell vectors:
Tb  0.0000  0.5000  0.5000
Tb  0.5000  0.0000  0.5000
Tb  0.5000  0.5000  0.0000
Tl  0.0000  0.0000  0.5000
Tl  0.0000  0.5000  0.0000
Tl  0.5000  0.0000  0.0000
Tl  0.5000  0.5000  0.5000
Sb  0.0000  0.0000  0.0000
S  0.2331  0.2331  0.7329
S  0.2331  0.7329  0.2331
S  0.2671  0.2671  0.2671
S  0.2672  0.7669  0.7669
S  0.7328  0.2331  0.2331
S  0.7329  0.7329  0.7329
S  0.7669  0.2671  0.7669
S  0.7669  0.7669  0.2671